Entry 1:
Starting from a cell relaxed with PBE, the powder diffraction line list of NbAsW was computed for Cu Kα X-rays.
Peak positions follow from Bragg's law for the DFT cell and can differ from measured ones.

Principal peaks in the range 2θ from 5° to 70°, most intense first:
| 2theta | I (rel.) |
| --- | --- |
| 39.6 | 100 |
| 33.0 | 34 |
| 46.1 | 28 |
| 33.7 | 24 |
| 15.0 | 21 |
| 37.1 | 19 |

Structural model:
```
NbAsW
1.0
2.656 -1.642 0.000
2.656 1.642 0.000
-2.637 0.000 5.902
Nb As W
1 1 1
direct
0.000 0.000 0.000
0.175 0.175 0.670
0.685 0.685 0.365
```

***

Entry 2:
Starting from a cell relaxed with PBE, the powder diffraction line list of ZrNb2As3 was computed for Cu Kα X-rays.
Peak positions follow from Bragg's law for the DFT cell and can differ from measured ones.

Principal peaks in the range 2θ from 5° to 70°, most intense first:
| 2theta | I (rel.) |
| --- | --- |
| 39.4 | 100 |
| 39.2 | 68 |
| 29.9 | 45 |
| 33.9 | 43 |
| 38.1 | 40 |
| 38.9 | 38 |

Structural model:
```
ZrNb2As3
1.0
3.547 0.000 0.000
0.000 10.182 0.000
0.000 0.000 6.330
Zr Nb As
2 4 6
direct
0.000 0.114 0.000
0.000 0.886 0.500
0.000 0.224 0.491
0.000 0.776 0.991
0.500 0.463 0.504
0.500 0.537 0.004
0.000 0.385 0.800
0.000 0.615 0.300
0.500 0.065 0.668
0.500 0.289 0.197
0.500 0.711 0.697
0.500 0.935 0.168
```

***

Entry 3:
Starting from a cell relaxed with PBE, the powder diffraction line list of Zr2NbAs2 was computed for Cu Kα X-rays.
Peak positions follow from Bragg's law for the DFT cell and can differ from measured ones.

Principal peaks in the range 2θ from 5° to 70°, most intense first:
| 2theta | I (rel.) |
| --- | --- |
| 37.2 | 100 |
| 40.3 | 47 |
| 65.1 | 22 |
| 48.8 | 16 |
| 34.9 | 16 |
| 59.2 | 12 |

Structural model:
```
Zr2NbAs2
1.0
7.083 0.000 0.000
0.000 7.083 0.000
0.000 0.000 3.732
Zr Nb As
4 2 4
direct
0.159 0.341 0.000
0.341 0.841 0.000
0.659 0.159 0.000
0.841 0.659 0.000
0.000 0.000 0.500
0.500 0.500 0.500
0.145 0.645 0.500
0.355 0.145 0.500
0.645 0.855 0.500
0.855 0.355 0.500
```

***

Entry 4:
Starting from a cell relaxed with PBE, the powder diffraction line list of Nd3As was computed for Cu Kα X-rays.
Peak positions follow from Bragg's law for the DFT cell and can differ from measured ones.

Principal peaks in the range 2θ from 5° to 70°, most intense first:
| 2theta | I (rel.) |
| --- | --- |
| 32.6 | 100 |
| 31.2 | 56 |
| 37.1 | 41 |
| 27.3 | 30 |
| 60.9 | 24 |
| 26.6 | 24 |

Structural model:
```
Nd3As
1.0
-1.955 4.786 3.264
1.955 -4.786 3.264
1.955 4.786 -3.264
Nd As
3 1
direct
0.000 0.000 0.000
0.241 0.434 0.808
0.626 0.434 0.192
0.666 0.166 0.500
```

***

Entry 5:
Starting from a cell relaxed with PBE, the powder diffraction line list of Nd3Ni6As5 was computed for Cu Kα X-rays.
Peak positions follow from Bragg's law for the DFT cell and can differ from measured ones.

Principal peaks in the range 2θ from 5° to 70°, most intense first:
| 2theta | I (rel.) |
| --- | --- |
| 36.5 | 100 |
| 35.5 | 39 |
| 35.4 | 34 |
| 45.2 | 29 |
| 52.0 | 24 |
| 44.8 | 24 |

Structural model:
```
Nd3Ni6As5
1.0
4.015 0.000 0.000
0.000 12.137 0.000
0.000 0.000 9.763
Nd Ni As
6 12 10
direct
0.250 0.087 0.247
0.250 0.413 0.247
0.250 0.750 0.252
0.750 0.250 0.748
0.750 0.587 0.753
0.750 0.913 0.753
0.250 0.068 0.889
0.250 0.250 0.004
0.250 0.250 0.508
0.250 0.432 0.889
0.250 0.579 0.495
0.250 0.921 0.495
0.750 0.079 0.505
0.750 0.421 0.505
0.750 0.568 0.111
0.750 0.750 0.492
0.750 0.750 0.996
0.750 0.932 0.111
0.250 0.081 0.641
0.250 0.419 0.641
0.250 0.617 0.988
0.250 0.750 0.623
0.250 0.883 0.988
0.750 0.117 0.012
0.750 0.250 0.377
0.750 0.383 0.012
0.750 0.581 0.359
0.750 0.919 0.359
```